This entry pairs a crystal structure of CaZn2Co2 with its theoretical PXRD pattern. Radiation: Cu Kα X-rays. Structure: a PBE-relaxed structure.
No peak broadening, texture or thermal motion is included.

Main lines, in order of rising 2θ (2θ from 10° to 90°):
2theta	I/Imax
17.1	23.6
34.6	9.5
38.9	49.5
40.6	28.2
42.5	100.0
44.6	14.5
51.5	13.6
56.0	9.0
61.9	8.8
74.2	12.3
78.2	10.3
80.2	10.2

Structure:
Cell: 7.322 7.322 2.797 Å, 90.00 90.00 90.00°
Sites, in units of the cell vectors:
Ca 0.000 0.000 0.000
Ca 0.500 0.500 0.000
Zn 0.171 0.329 0.500
Zn 0.329 0.829 0.500
Zn 0.671 0.171 0.500
Zn 0.829 0.671 0.500
Co 0.118 0.618 0.000
Co 0.382 0.118 0.000
Co 0.618 0.882 0.000
Co 0.882 0.382 0.000